[1]
Calculated powder XRD pattern of LiTaW for Cu Kα (weighted mean of Kα1 and Kα2), from a cell relaxed with PBE.
Intensities are scaled so that the largest is 100.

Cell and atoms:
a b c (Å): 4.5529 3.1705 14.4015
angles (deg): 90.00 91.27 90.00
Fractional positions:
1 Li 0.0000 0.0000 0.0000
2 Li 0.0492 0.5000 0.8238
3 Li 0.5000 0.5000 0.0000
4 Li 0.5492 0.0000 0.8238
5 Ta 0.0071 0.5000 0.1782
6 Ta 0.0191 0.0000 0.3474
7 Ta 0.5071 0.0000 0.1782
8 Ta 0.5191 0.5000 0.3474
9 W 0.0306 0.5000 0.5092
10 W 0.0414 0.0000 0.6620
11 W 0.5306 0.0000 0.5092
12 W 0.5414 0.5000 0.6620

Top 10 peaks for 2θ = 10–80°, in order of rising 2θ:
- 7.199 Å, 2θ 12.3, I 29.0
- 2.437 Å, 2θ 36.9, I 14.5
- 2.400 Å, 2θ 37.5, I 36.4
- 2.299 Å, 2θ 39.2, I 66.7
- 2.275 Å, 2θ 39.6, I 100.0
- 2.121 Å, 2θ 42.6, I 19.1
- 2.096 Å, 2θ 43.2, I 11.7
- 1.633 Å, 2θ 56.3, I 11.9
- 1.323 Å, 2θ 71.3, I 22.2
- 1.309 Å, 2θ 72.1, I 11.8

***

[2]
Calculated powder XRD pattern of TbNdZr for Cu Kα (weighted mean of Kα1 and Kα2), from a cell relaxed with PBE.
Intensities are scaled so that the largest is 100.

Cell and atoms:
a b c (Å): 3.4184 3.4184 15.1177
angles (deg): 90.00 90.00 90.00
Fractional positions:
1 Tb 0.0000 0.0000 0.0000
2 Tb 0.5000 0.5000 0.5000
3 Nd 0.0000 0.0000 0.3108
4 Nd 0.5000 0.5000 0.8108
5 Zr 0.0000 0.0000 0.6507
6 Zr 0.5000 0.5000 0.1507

Top 10 peaks for 2θ = 10–80°, in order of rising 2θ:
- 3.779 Å, 2θ 23.5, I 5.4
- 3.334 Å, 2θ 26.7, I 5.8
- 2.829 Å, 2θ 31.6, I 100.0
- 2.520 Å, 2θ 35.6, I 16.2
- 2.417 Å, 2θ 37.2, I 33.4
- 1.744 Å, 2θ 52.5, I 21.4
- 1.709 Å, 2θ 53.6, I 11.6
- 1.508 Å, 2θ 61.5, I 10.8
- 1.463 Å, 2θ 63.6, I 26.6
- 1.414 Å, 2θ 66.1, I 10.6

***

[3]
Calculated powder XRD pattern of Sm7Ho2Sc for Cu Kα (weighted mean of Kα1 and Kα2), from a cell relaxed with PBE.
Intensities are scaled so that the largest is 100.

Cell and atoms:
a b c (Å): 9.6129 9.6129 5.2353
angles (deg): 90.00 90.00 125.55
Fractional positions:
1 Sm 0.0000 0.0000 0.0000
2 Sm 0.2141 0.4278 0.0000
3 Sm 0.3037 0.6963 0.5000
4 Sm 0.4278 0.2141 0.0000
5 Sm 0.5722 0.7859 0.0000
6 Sm 0.6963 0.3037 0.5000
7 Sm 0.7859 0.5722 0.0000
8 Ho 0.2035 0.7965 0.0000
9 Ho 0.7965 0.2035 0.0000
10 Sc 0.5000 0.5000 0.5000

Top 10 peaks for 2θ = 10–80°, in order of rising 2θ:
- 5.235 Å, 2θ 16.9, I 58.9
- 3.065 Å, 2θ 29.1, I 31.8
- 2.722 Å, 2θ 32.9, I 100.0
- 2.645 Å, 2θ 33.9, I 20.6
- 2.618 Å, 2θ 34.3, I 39.6
- 2.530 Å, 2θ 35.5, I 50.9
- 2.334 Å, 2θ 38.6, I 17.9
- 1.991 Å, 2θ 45.6, I 18.6
- 1.531 Å, 2θ 60.5, I 18.7
- 1.499 Å, 2θ 61.9, I 23.2

***

[4]
Calculated powder XRD pattern of TmAl10Cr2 for Cu Kα (weighted mean of Kα1 and Kα2), from a cell relaxed with PBE.
Intensities are scaled so that the largest is 100.

Cell and atoms:
a b c (Å): 6.8813 6.8813 9.1032
angles (deg): 90.00 90.00 97.87
Fractional positions:
1 Tm 0.1305 0.8695 0.7500
2 Tm 0.8695 0.1305 0.2500
3 Al 0.1382 0.4105 0.7500
4 Al 0.1516 0.8484 0.0974
5 Al 0.1516 0.8484 0.4026
6 Al 0.2166 0.4779 0.2500
7 Al 0.2282 0.2282 0.0000
8 Al 0.2282 0.2282 0.5000
9 Al 0.3741 0.6259 0.5383
10 Al 0.3741 0.6259 0.9617
11 Al 0.4105 0.1382 0.2500
12 Al 0.4779 0.2166 0.7500
13 Al 0.5221 0.7834 0.2500
14 Al 0.5895 0.8618 0.7500
15 Al 0.6259 0.3741 0.0383
16 Al 0.6259 0.3741 0.4617
17 Al 0.7718 0.7718 0.0000
18 Al 0.7718 0.7718 0.5000
19 Al 0.7834 0.5221 0.7500
20 Al 0.8484 0.1516 0.5974
21 Al 0.8484 0.1516 0.9026
22 Al 0.8618 0.5895 0.2500
23 Cr 0.0000 0.5000 0.0000
24 Cr 0.0000 0.5000 0.5000
25 Cr 0.5000 0.0000 0.0000
26 Cr 0.5000 0.0000 0.5000

Top 10 peaks for 2θ = 10–80°, in order of rising 2θ:
- 6.816 Å, 2θ 13.0, I 43.7
- 5.456 Å, 2θ 16.2, I 55.1
- 4.508 Å, 2θ 19.7, I 37.2
- 3.207 Å, 2θ 27.8, I 37.2
- 3.192 Å, 2θ 28.0, I 49.5
- 2.619 Å, 2θ 34.2, I 37.7
- 2.442 Å, 2θ 36.8, I 42.8
- 2.274 Å, 2θ 39.6, I 55.6
- 2.266 Å, 2θ 39.8, I 63.2
- 2.252 Å, 2θ 40.0, I 100.0

***

> What is the formula in the fourth record?

TmAl10Cr2

***

Please write out number 4 again, unchanged.
Calculated powder XRD pattern of TmAl10Cr2 for Cu Kα (weighted mean of Kα1 and Kα2), from a cell relaxed with PBE.
Intensities are scaled so that the largest is 100.

Cell and atoms:
a b c (Å): 6.8813 6.8813 9.1032
angles (deg): 90.00 90.00 97.87
Fractional positions:
1 Tm 0.1305 0.8695 0.7500
2 Tm 0.8695 0.1305 0.2500
3 Al 0.1382 0.4105 0.7500
4 Al 0.1516 0.8484 0.0974
5 Al 0.1516 0.8484 0.4026
6 Al 0.2166 0.4779 0.2500
7 Al 0.2282 0.2282 0.0000
8 Al 0.2282 0.2282 0.5000
9 Al 0.3741 0.6259 0.5383
10 Al 0.3741 0.6259 0.9617
11 Al 0.4105 0.1382 0.2500
12 Al 0.4779 0.2166 0.7500
13 Al 0.5221 0.7834 0.2500
14 Al 0.5895 0.8618 0.7500
15 Al 0.6259 0.3741 0.0383
16 Al 0.6259 0.3741 0.4617
17 Al 0.7718 0.7718 0.0000
18 Al 0.7718 0.7718 0.5000
19 Al 0.7834 0.5221 0.7500
20 Al 0.8484 0.1516 0.5974
21 Al 0.8484 0.1516 0.9026
22 Al 0.8618 0.5895 0.2500
23 Cr 0.0000 0.5000 0.0000
24 Cr 0.0000 0.5000 0.5000
25 Cr 0.5000 0.0000 0.0000
26 Cr 0.5000 0.0000 0.5000

Top 10 peaks for 2θ = 10–80°, in order of rising 2θ:
- 6.816 Å, 2θ 13.0, I 43.7
- 5.456 Å, 2θ 16.2, I 55.1
- 4.508 Å, 2θ 19.7, I 37.2
- 3.207 Å, 2θ 27.8, I 37.2
- 3.192 Å, 2θ 28.0, I 49.5
- 2.619 Å, 2θ 34.2, I 37.7
- 2.442 Å, 2θ 36.8, I 42.8
- 2.274 Å, 2θ 39.6, I 55.6
- 2.266 Å, 2θ 39.8, I 63.2
- 2.252 Å, 2θ 40.0, I 100.0